(1)
# Ba2CdIn6Ge
Computed X-ray powder pattern, Cu Kα X-rays. Input: a crystal structure in Alexandria, relaxed with GGA-PBE.
Lines closer than 0.1° are merged.

Crystal structure
a = 8.308 Å, b = 9.845 Å, c = 7.783 Å
α = 90.00°, β = 90.00°, γ = 90.00°
Fractional positions:
1 Ba 0.250 0.019 0.217
2 Ba 0.250 0.481 0.217
3 Ba 0.750 0.519 0.783
4 Ba 0.750 0.981 0.783
5 Cd 0.250 0.750 0.911
6 Cd 0.750 0.250 0.089
7 In 0.056 0.250 0.883
8 In 0.075 0.750 0.516
9 In 0.250 0.009 0.724
10 In 0.250 0.491 0.724
11 In 0.425 0.750 0.516
12 In 0.444 0.250 0.883
13 In 0.556 0.750 0.117
14 In 0.575 0.250 0.484
15 In 0.750 0.509 0.276
16 In 0.750 0.991 0.276
17 In 0.925 0.250 0.484
18 In 0.944 0.750 0.117
19 Ge 0.250 0.250 0.528
20 Ge 0.750 0.750 0.472

Principal peaks in the range 5° ≤ 2θ ≤ 70°, in order of falling intensity:
- 29.26 deg, I = 100, (0 2 2)
- 36.52 deg, I = 75, (0 4 0)
- 28.11 deg, I = 57, (2 2 0)
- 35.60 deg, I = 49, (3 1 1)
- 44.36 deg, I = 28, (3 3 1)
- 31.50 deg, I = 28, (2 0 2)
- 32.82 deg, I = 25, (2 1 2)
- 48.98 deg, I = 24, (2 4 2)
- 31.21 deg, I = 23, (1 2 2)
- 58.75 deg, I = 22, (3 1 4)
- 21.39 deg, I = 22, (2 0 0)
- 53.34 deg, I = 17, (4 2 2)

***

(2)
# Ba3Zn2Cd2Ge4
Computed X-ray powder pattern, Cu Kα X-rays. Input: a crystal structure in Alexandria, relaxed with GGA-PBE.
Lines closer than 0.1° are merged.

Crystal structure
a = 4.510 Å, b = 4.510 Å, c = 17.720 Å
α = 90.00°, β = 90.00°, γ = 120.00°
Fractional positions:
1 Ba 0.000 0.000 0.000
2 Ba 0.000 0.000 0.276
3 Ba 0.000 0.000 0.724
4 Zn 0.333 0.667 0.140
5 Zn 0.667 0.333 0.860
6 Cd 0.333 0.667 0.552
7 Cd 0.667 0.333 0.448
8 Ge 0.333 0.667 0.394
9 Ge 0.333 0.667 0.865
10 Ge 0.667 0.333 0.135
11 Ge 0.667 0.333 0.606

Principal peaks in the range 5° ≤ 2θ ≤ 70°, in order of falling intensity:
- 30.51 deg, I = 100, (0 1 4)
- 39.98 deg, I = 96, (1 1 0)
- 27.38 deg, I = 82, (1 0 3)
- 54.50 deg, I = 45, (1 1 7)
- 35.46 deg, I = 26, (0 0 7)
- 24.92 deg, I = 25, (0 1 2)
- 51.12 deg, I = 23, (2 0 4)
- 66.80 deg, I = 21, (1 2 4)
- 23.32 deg, I = 18, (0 1 1)
- 38.21 deg, I = 17, (0 1 6)
- 49.14 deg, I = 16, (0 2 3)
- 34.16 deg, I = 15, (0 1 5)

***

(3)
# Ba2CdH6Ir
Computed X-ray powder pattern, Cu Kα X-rays. Input: a crystal structure in Alexandria, relaxed with GGA-PBE.
Lines closer than 0.1° are merged.

Crystal structure
a = 5.186 Å, b = 5.186 Å, c = 8.088 Å
α = 90.00°, β = 90.00°, γ = 120.00°
Fractional positions:
1 Ba 0.333 0.667 0.207
2 Ba 0.667 0.333 0.793
3 Cd 0.000 0.000 0.500
4 H 0.156 0.312 0.884
5 H 0.156 0.844 0.884
6 H 0.312 0.156 0.116
7 H 0.688 0.844 0.884
8 H 0.844 0.156 0.116
9 H 0.844 0.688 0.116
10 Ir 0.000 0.000 0.000

Principal peaks in the range 5° ≤ 2θ ≤ 70°, in order of falling intensity:
- 29.73 deg, I = 100, (0 1 2)
- 34.59 deg, I = 57, (1 1 0)
- 22.65 deg, I = 52, (0 1 1)
- 46.24 deg, I = 30, (2 0 2)
- 59.01 deg, I = 28, (1 2 2)
- 19.77 deg, I = 22, (1 0 0)
- 10.94 deg, I = 21, (0 0 1)
- 57.83 deg, I = 15, (1 1 4)
- 38.96 deg, I = 14, (1 0 3)
- 49.43 deg, I = 13, (1 0 4)
- 41.74 deg, I = 11, (2 0 1)
- 61.99 deg, I = 10, (3 0 0)